[1]
# In3Ni2
Calculated X-ray diffraction stick pattern, Cu Kα (weighted mean of Kα1 and Kα2). Input: the PBE geometry in the Materials Project.
Lines closer than 0.1° are merged.

The 10 most intense peaks (15° ≤ 2θ ≤ 90°), in order of rising 2θ:
2θ/deg	d [Å]	intensity	hkl
28.61	3.120	60	1 0 1
40.57	2.223	100	1 1 0
41.25	2.189	98	0 1 2
50.40	1.811	12	0 2 1
59.24	1.560	32	2 0 2
66.61	1.404	11	2 1 1
73.82	1.284	16	3 0 0
74.28	1.277	32	1 2 2
75.64	1.257	13	1 0 4
87.81	1.112	10	2 2 0

Cell and atoms:
```
data_In3Ni2
_cell_length_a 4.4469
_cell_length_b 4.4469
_cell_length_c 5.3202
_cell_angle_alpha 90.00
_cell_angle_beta 90.00
_cell_angle_gamma 120.00
_symmetry_space_group_name_H-M 'P -3 m 1'
_symmetry_Int_Tables_number 164
_symmetry_space_group_name_Hall '-P 3 2"'
loop_
_atom_site_label
_atom_site_fract_x
_atom_site_fract_y
_atom_site_fract_z
_atom_site_occupancy
In1 0.0000 0.0000 0.0000 1
In2 0.3333 0.6667 0.6454 1
Ni1 0.3333 0.6667 0.1398 1
```

***

[2]
# Np2InNi2
Calculated X-ray diffraction stick pattern, Cu Kα (weighted mean of Kα1 and Kα2). Input: the PBE geometry in the Materials Project.
Lines closer than 0.1° are merged.

The 10 most intense peaks (15° ≤ 2θ ≤ 90°), in order of rising 2θ:
2θ/deg	d [Å]	intensity	hkl
27.13	3.287	35	2 1 0
30.13	2.966	11	1 1 1
34.83	2.576	42	2 0 1
36.98	2.431	100	2 1 1
38.74	2.324	38	3 1 0
50.54	1.806	14	0 0 2
51.25	1.783	15	4 1 0
57.67	1.599	21	4 1 1
59.15	1.562	18	3 3 1
65.45	1.426	16	3 1 2

Cell and atoms:
```
data_Np2InNi2
_cell_length_a 7.3502
_cell_length_b 7.3502
_cell_length_c 3.6120
_cell_angle_alpha 90.00
_cell_angle_beta 90.00
_cell_angle_gamma 90.00
_symmetry_space_group_name_H-M 'P 4/m b m'
_symmetry_Int_Tables_number 127
_symmetry_space_group_name_Hall '-P 4 2ab'
loop_
_atom_site_label
_atom_site_fract_x
_atom_site_fract_y
_atom_site_fract_z
_atom_site_occupancy
Np1 0.1711 0.3289 0.0000 1
In1 0.0000 0.0000 0.5000 1
Ni1 0.1265 0.6265 0.5000 1
```

***

[3]
# PaInNi2
Calculated X-ray diffraction stick pattern, Cu Kα (weighted mean of Kα1 and Kα2). Input: the PBE geometry in the Materials Project.
Lines closer than 0.1° are merged.

The 10 most intense peaks (15° ≤ 2θ ≤ 90°), in order of rising 2θ:
2θ/deg	d [Å]	intensity	hkl
23.47	3.791	12	1 1 1
27.16	3.283	25	2 0 0
38.79	2.321	100	2 2 0
45.83	1.980	7	3 1 1
48.00	1.895	8	2 2 2
56.02	1.642	17	4 0 0
63.35	1.468	10	4 2 0
70.22	1.340	34	4 2 2
83.24	1.161	11	4 4 0
89.57	1.094	6	6 0 0

Cell and atoms:
```
data_PaInNi2
_cell_length_a 6.5661
_cell_length_b 6.5661
_cell_length_c 6.5661
_cell_angle_alpha 90.00
_cell_angle_beta 90.00
_cell_angle_gamma 90.00
_symmetry_space_group_name_H-M 'F m -3 m'
_symmetry_Int_Tables_number 225
_symmetry_space_group_name_Hall '-F 4 2 3'
loop_
_atom_site_label
_atom_site_fract_x
_atom_site_fract_y
_atom_site_fract_z
_atom_site_occupancy
Pa1 0.0000 0.0000 0.0000 1
In1 0.0000 0.0000 0.5000 1
Ni1 0.2500 0.2500 0.2500 1
```

***

[4]
# PmInNi2
Calculated X-ray diffraction stick pattern, Cu Kα (weighted mean of Kα1 and Kα2). Input: the PBE geometry in the Materials Project.
Lines closer than 0.1° are merged.

The 10 most intense peaks (15° ≤ 2θ ≤ 90°), in order of rising 2θ:
2θ/deg	d [Å]	intensity	hkl
23.43	3.798	1	1 1 1
27.11	3.289	15	2 0 0
38.72	2.326	100	2 2 0
45.75	1.983	1	3 1 1
47.91	1.899	4	2 2 2
55.91	1.644	17	4 0 0
63.22	1.471	6	4 2 0
70.08	1.343	33	4 2 2
83.06	1.163	10	4 4 0
89.37	1.096	3	6 0 0

Cell and atoms:
```
data_PmInNi2
_cell_length_a 6.5777
_cell_length_b 6.5777
_cell_length_c 6.5777
_cell_angle_alpha 90.00
_cell_angle_beta 90.00
_cell_angle_gamma 90.00
_symmetry_space_group_name_H-M 'F m -3 m'
_symmetry_Int_Tables_number 225
_symmetry_space_group_name_Hall '-F 4 2 3'
loop_
_atom_site_label
_atom_site_fract_x
_atom_site_fract_y
_atom_site_fract_z
_atom_site_occupancy
Pm1 0.0000 0.0000 0.0000 1
In1 0.0000 0.0000 0.5000 1
Ni1 0.2500 0.2500 0.2500 1
```

***

[5]
# PrInNi
Calculated X-ray diffraction stick pattern, Cu Kα (weighted mean of Kα1 and Kα2). Input: the PBE geometry in the Materials Project.
Lines closer than 0.1° are merged.

The 10 most intense peaks (15° ≤ 2θ ≤ 90°), in order of rising 2θ:
2θ/deg	d [Å]	intensity	hkl
32.54	2.752	100	1 1 1
35.36	2.539	79	2 0 1
36.10	2.488	59	2 1 0
41.14	2.194	21	3 0 0
42.84	2.111	15	2 1 1
45.47	1.995	23	0 0 2
49.96	1.826	12	3 1 0
55.34	1.660	24	3 1 1
59.39	1.556	27	2 1 2
66.17	1.412	25	3 2 1

Cell and atoms:
```
data_PrInNi
_cell_length_a 7.6005
_cell_length_b 7.6005
_cell_length_c 3.9892
_cell_angle_alpha 90.00
_cell_angle_beta 90.00
_cell_angle_gamma 120.00
_symmetry_space_group_name_H-M 'P -6 2 m'
_symmetry_Int_Tables_number 189
_symmetry_space_group_name_Hall 'P -6 -2'
loop_
_atom_site_label
_atom_site_fract_x
_atom_site_fract_y
_atom_site_fract_z
_atom_site_occupancy
Pr1 0.0000 0.4125 0.0000 1
In1 0.0000 0.7527 0.5000 1
Ni1 0.0000 0.0000 0.0000 1
Ni2 0.3333 0.6667 0.5000 1
```

***

[6]
# Pr4In8Ni7
Calculated X-ray diffraction stick pattern, Cu Kα (weighted mean of Kα1 and Kα2). Input: the PBE geometry in the Materials Project.
Lines closer than 0.1° are merged.

The 10 most intense peaks (15° ≤ 2θ ≤ 90°), in order of rising 2θ:
2θ/deg	d [Å]	intensity	hkl
30.27	2.952	22	0 6 1
32.68	2.740	33	2 6 1
33.20	2.699	100	3 5 1
35.24	2.547	16	4 4 1
36.64	2.453	20	6 0 0
37.05	2.426	16	5 1 1
37.35	2.408	15	0 10 0
41.46	2.178	60	0 0 2
56.49	1.629	16	6 0 2
63.79	1.459	17	9 5 1

Cell and atoms:
```
data_Pr4In8Ni7
_cell_length_a 14.7160
_cell_length_b 24.0880
_cell_length_c 4.3568
_cell_angle_alpha 90.00
_cell_angle_beta 90.00
_cell_angle_gamma 90.00
_symmetry_space_group_name_H-M 'C m m m'
_symmetry_Int_Tables_number 65
_symmetry_space_group_name_Hall '-C 2 2'
loop_
_atom_site_label
_atom_site_fract_x
_atom_site_fract_y
_atom_site_fract_z
_atom_site_occupancy
Pr1 0.0000 0.1060 0.0000 1
Pr2 0.1718 0.3231 0.5000 1
Pr3 0.1841 0.5000 0.5000 1
In1 0.0000 0.0000 0.5000 1
In2 0.0000 0.2228 0.5000 1
In3 0.0000 0.3102 0.0000 1
In4 0.0000 0.4135 0.5000 1
In5 0.0000 0.5000 0.0000 1
In6 0.1582 0.2160 0.0000 1
In7 0.2247 0.0940 0.0000 1
Ni1 0.0954 0.4052 0.0000 1
Ni2 0.1221 0.0000 0.0000 1
Ni3 0.1379 0.1538 0.5000 1
Ni4 0.1435 0.0543 0.5000 1
```

***

[7]
# PrInNi
Calculated X-ray diffraction stick pattern, Cu Kα (weighted mean of Kα1 and Kα2). Input: the PBE geometry in the Materials Project.
Lines closer than 0.1° are merged.

The 10 most intense peaks (15° ≤ 2θ ≤ 90°), in order of rising 2θ:
2θ/deg	d [Å]	intensity	hkl
32.30	2.771	50	1 0 2
32.41	2.762	100	1 3 1
39.36	2.289	54	0 3 3
39.63	2.274	27	0 6 0
47.00	1.933	16	2 0 0
51.72	1.767	13	1 0 4
52.02	1.758	25	1 6 2
62.92	1.477	26	2 3 3
63.11	1.473	13	2 6 0
67.07	1.396	12	1 6 4

Cell and atoms:
```
data_PrInNi
_cell_length_a 3.8669
_cell_length_b 13.6450
_cell_length_c 7.9485
_cell_angle_alpha 90.00
_cell_angle_beta 90.00
_cell_angle_gamma 90.00
_symmetry_space_group_name_H-M 'A m m 2'
_symmetry_Int_Tables_number 38
loop_
_symmetry_equiv_pos_as_xyz
'x,y,z'
'-x,-y,z'
'-x,y,z'
'x,-y,z'
'x,y+1/2,z+1/2'
'-x,-y+1/2,z+1/2'
'-x,y+1/2,z+1/2'
'x,-y+1/2,z+1/2'
loop_
_atom_site_label
_atom_site_fract_x
_atom_site_fract_y
_atom_site_fract_z
_atom_site_occupancy
Pr1 0.0000 0.0000 0.0000 1
Pr2 0.0000 0.1696 0.4914 1
In1 0.5000 0.0000 0.3305 1
In2 0.5000 0.1644 0.8242 1
Ni1 0.5000 0.0000 0.6581 1
Ni2 0.5000 0.1666 0.1583 1
```

***

[8]
# In2NiS4
Calculated X-ray diffraction stick pattern, Cu Kα (weighted mean of Kα1 and Kα2). Input: the PBE geometry in the Materials Project.
Lines closer than 0.1° are merged.

The 10 most intense peaks (15° ≤ 2θ ≤ 90°), in order of rising 2θ:
2θ/deg	d [Å]	intensity	hkl
23.82	3.736	12	2 2 0
28.01	3.186	100	3 1 1
33.93	2.642	51	4 0 0
44.55	2.034	37	3 3 3
48.75	1.868	71	4 4 0
57.16	1.611	13	5 3 3
60.72	1.525	12	4 4 4
68.16	1.376	22	7 3 1
78.37	1.220	11	7 5 1
81.47	1.181	15	8 4 0

Cell and atoms:
Unit cell a=10.5670 b=10.5670 c=10.5670 alpha=90.00 beta=90.00 gamma=90.00
Space group Fd-3m (No. 227, origin choice 2)
Symmetry-distinct sites (fractional):
In  0.0000  0.0000  0.0000 (multiplicity 16)
Ni  0.1250  0.1250  0.6250 (multiplicity 8)
S  0.9997  0.9997  0.2503 (multiplicity 32)

***

Copy entry 8 word for word.
# In2NiS4
Calculated X-ray diffraction stick pattern, Cu Kα (weighted mean of Kα1 and Kα2). Input: the PBE geometry in the Materials Project.
Lines closer than 0.1° are merged.

The 10 most intense peaks (15° ≤ 2θ ≤ 90°), in order of rising 2θ:
2θ/deg	d [Å]	intensity	hkl
23.82	3.736	12	2 2 0
28.01	3.186	100	3 1 1
33.93	2.642	51	4 0 0
44.55	2.034	37	3 3 3
48.75	1.868	71	4 4 0
57.16	1.611	13	5 3 3
60.72	1.525	12	4 4 4
68.16	1.376	22	7 3 1
78.37	1.220	11	7 5 1
81.47	1.181	15	8 4 0

Cell and atoms:
Unit cell a=10.5670 b=10.5670 c=10.5670 alpha=90.00 beta=90.00 gamma=90.00
Space group Fd-3m (No. 227, origin choice 2)
Symmetry-distinct sites (fractional):
In  0.0000  0.0000  0.0000 (multiplicity 16)
Ni  0.1250  0.1250  0.6250 (multiplicity 8)
S  0.9997  0.9997  0.2503 (multiplicity 32)